CrF5: computed X-ray diffraction stick pattern (Cu Ka), based on a structure optimized by DFT (GGA+U).
Intensities are scaled so that the largest is 100.

Structural model:
Cell lengths 3.028, 7.636, 8.234 Å; angles 90.00, 90.00, 90.00 degrees
Space group Immm (No. 71)
Unique sites:
1 Cr 0.000 0.000 0.000
2 F 0.000 0.000 0.215
3 F 0.000 0.340 0.500
4 F 0.000 0.500 0.000

Peak list (10 most intense, 2θ = 10–80°, sorted by position)
- 2θ = 15.83°, I = 100.0, (0 1 1)
- 2θ = 21.59°, I = 35.2, (0 0 2)
- 2θ = 23.30°, I = 45.6, (0 2 0)
- 2θ = 31.79°, I = 11.4, (1 1 0)
- 2θ = 39.53°, I = 42.5, (1 2 1)
- 2θ = 43.99°, I = 14.5, (0 0 4)
- 2θ = 46.61°, I = 15.9, (1 3 0)
- 2θ = 50.87°, I = 8.4, (1 2 3)
- 2θ = 58.22°, I = 13.1, (1 4 1)
- 2θ = 69.48°, I = 9.1, (1 2 5)

---

VHgO3: computed X-ray diffraction stick pattern (Cu Ka), based on a structure optimized by DFT (GGA+U).
Intensities are scaled so that the largest is 100.

Structural model:
Cell lengths 3.650, 5.072, 8.794 Å; angles 92.75, 101.57, 92.81 degrees
Space group P-1 (No. 2)
Unique sites:
1 V 0.175 0.389 0.363
2 Hg 0.353 0.822 0.075
3 O 0.097 0.499 0.174
4 O 0.142 0.065 0.339
5 O 0.295 0.521 0.589

Peak list (10 most intense, 2θ = 10–80°, sorted by position)
- 2θ = 10.29°, I = 100.0, (0 0 1)
- 2θ = 20.90°, I = 31.7, (0 1 1)
- 2θ = 26.40°, I = 14.9, (0 1 -2)
- 2θ = 28.02°, I = 39.9, (0 1 2)
- 2θ = 28.97°, I = 35.8, (1 0 1)
- 2θ = 29.76°, I = 19.6, (1 -1 0)
- 2θ = 30.16°, I = 35.4, (-1 1 1)
- 2θ = 31.21°, I = 19.6, (1 1 -1)
- 2θ = 34.31°, I = 16.1, (1 1 -2)
- 2θ = 36.44°, I = 18.6, (0 2 -1)

---

Cs2TiW3O12: computed X-ray diffraction stick pattern (Cu Ka), based on a structure optimized by DFT (GGA+U).
Intensities are scaled so that the largest is 100.

Structural model:
Cell lengths 7.4134, 7.4134, 17.9188 Å; angles 90.00, 90.00, 120.00 degrees
Space group R-3m (No. 166, hexagonal axes)
Unique sites:
1 Cs 0.0000 0.0000 0.1334
2 Ti 0.0000 0.0000 0.5000
3 W 0.0000 0.5000 0.0000
4 O 0.0855 0.5427 0.3551
5 O 0.0859 0.5429 0.1018

Peak list (10 most intense, 2θ = 10–80°, sorted by position)
- 2θ = 14.83°, I = 20.9, (0 0 3)
- 2θ = 24.23°, I = 22.2, (1 0 4)
- 2θ = 28.29°, I = 100.0, (0 2 1)
- 2θ = 28.52°, I = 15.2, (0 1 5)
- 2θ = 29.56°, I = 33.3, (2 0 2)
- 2θ = 29.92°, I = 14.8, (0 0 6)
- 2θ = 45.00°, I = 14.7, (3 0 3)
- 2θ = 45.31°, I = 14.0, (0 2 7)
- 2θ = 49.16°, I = 20.8, (2 2 0)
- 2θ = 49.63°, I = 19.1, (2 0 8)

---

Li4Ni3BiO8: computed X-ray diffraction stick pattern (Cu Ka), based on a structure optimized by DFT (GGA+U).
Intensities are scaled so that the largest is 100.

Structural model:
Cell lengths 6.059, 6.091, 8.545 Å; angles 90.00, 90.38, 90.00 degrees
Space group P2 (No. 3)
Unique sites:
1 Li 0.000 0.000 0.000
2 Li 0.000 0.499 0.000
3 Li 0.247 0.249 0.750
4 Li 0.250 0.752 0.749
5 Li 0.500 0.003 0.500
6 Li 0.500 0.504 0.500
7 Ni 0.000 0.000 0.500
8 Ni 0.250 0.751 0.250
9 Ni 0.251 0.252 0.250
10 Ni 0.500 0.503 0.000
11 Bi 0.000 0.499 0.500
12 Bi 0.500 0.004 0.000
13 O 0.002 0.500 0.251
14 O 0.030 0.983 0.256
15 O 0.244 0.248 0.500
16 O 0.245 0.751 0.487
17 O 0.254 0.752 0.013
18 O 0.256 0.254 0.000
19 O 0.470 0.519 0.244
20 O 0.499 0.002 0.249

Peak list (10 most intense, 2θ = 10–80°, sorted by position)
- 2θ = 17.89°, I = 34.5, (0 1 1)
- 2θ = 18.00°, I = 100.0, (1 0 1)
- 2θ = 20.68°, I = 17.7, (1 1 0)
- 2θ = 34.58°, I = 47.7, (1 2 -1)
- 2θ = 34.73°, I = 27.5, (1 0 -3)
- 2θ = 36.23°, I = 28.9, (2 0 -2)
- 2θ = 42.07°, I = 44.1, (2 2 0)
- 2θ = 42.31°, I = 21.8, (0 0 4)
- 2θ = 46.21°, I = 16.2, (1 2 3)
- 2θ = 61.03°, I = 13.4, (2 2 -4)

---

Li4Cr3Co5O16: computed X-ray diffraction stick pattern (Cu Ka), based on a structure optimized by DFT (GGA+U).
Intensities are scaled so that the largest is 100.

Structural model:
Cell lengths 5.766, 5.815, 9.443 Å; angles 89.05, 89.73, 60.30 degrees
Space group P1 (No. 1)
Unique sites:
1 Li 0.000 0.000 0.000
2 Li 0.004 0.998 0.498
3 Li 0.309 0.344 0.898
4 Li 0.638 0.678 0.394
5 Cr 0.646 0.178 0.217
6 Cr 0.812 0.347 0.716
7 Cr 0.816 0.842 0.713
8 Co 0.152 0.670 0.215
9 Co 0.155 0.176 0.217
10 Co 0.313 0.334 0.490
11 Co 0.325 0.837 0.719
12 Co 0.664 0.668 0.993
13 O 0.000 0.000 0.310
14 O 0.017 0.488 0.332
15 O 0.147 0.680 0.610
16 O 0.159 0.165 0.603
17 O 0.302 0.348 0.113
18 O 0.317 0.836 0.112
19 O 0.450 0.044 0.338
20 O 0.450 0.495 0.341
21 O 0.490 0.539 0.842
22 O 0.502 0.971 0.836
23 O 0.635 0.686 0.608
24 O 0.663 0.160 0.602
25 O 0.833 0.835 0.105
26 O 0.837 0.327 0.101
27 O 0.944 0.535 0.839
28 O 0.998 0.999 0.813

Peak list (10 most intense, 2θ = 10–80°, sorted by position)
- 2θ = 18.80°, I = 100.0, (0 0 2)
- 2θ = 19.80°, I = 33.4, (0 1 1)
- 2θ = 20.01°, I = 59.7, (1 0 -1)
- 2θ = 20.09°, I = 44.7, (0 1 -1)
- 2θ = 36.05°, I = 30.7, (1 2 2)
- 2θ = 36.46°, I = 32.3, (1 -1 2)
- 2θ = 36.58°, I = 27.2, (1 2 -2)
- 2θ = 37.02°, I = 29.0, (0 2 -1)
- 2θ = 46.45°, I = 28.8, (2 0 3)
- 2θ = 64.05°, I = 41.7, (2 4 0)

---

Li3V4O5F7: computed X-ray diffraction stick pattern (Cu Ka), based on a structure optimized by DFT (GGA+U).
Intensities are scaled so that the largest is 100.

Structural model:
Cell lengths 5.774, 5.864, 6.174 Å; angles 100.26, 98.18, 98.08 degrees
Space group P1 (No. 1)
Unique sites:
1 Li 0.000 0.000 0.000
2 Li 0.071 0.527 0.235
3 Li 0.541 0.265 0.180
4 V 0.256 0.070 0.521
5 V 0.429 0.668 0.845
6 V 0.707 0.820 0.486
7 V 0.789 0.367 0.718
8 O 0.358 0.776 0.570
9 O 0.435 0.358 0.750
10 O 0.583 0.111 0.458
11 O 0.742 0.733 0.795
12 O 0.999 0.099 0.657
13 F 0.102 0.547 0.904
14 F 0.217 0.273 0.302
15 F 0.351 0.962 0.987
16 F 0.521 0.635 0.174
17 F 0.799 0.254 0.013
18 F 0.844 0.506 0.445
19 F 0.996 0.855 0.278

Peak list (10 most intense, 2θ = 10–80°, sorted by position)
- 2θ = 14.80°, I = 100.0, (0 0 1)
- 2θ = 19.24°, I = 43.8, (0 1 -1)
- 2θ = 24.06°, I = 35.0, (1 1 0)
- 2θ = 25.42°, I = 23.8, (-1 1 1)
- 2θ = 30.83°, I = 54.1, (0 1 -2)
- 2θ = 31.39°, I = 45.3, (1 1 1)
- 2θ = 32.76°, I = 90.4, (1 -2 0)
- 2θ = 53.32°, I = 25.7, (1 -3 2)
- 2θ = 53.60°, I = 27.1, (0 3 1)
- 2θ = 55.50°, I = 24.4, (-3 2 1)

---

Li4CrFe3O8: computed X-ray diffraction stick pattern (Cu Ka), based on a structure optimized by DFT (GGA+U).
Intensities are scaled so that the largest is 100.

Structural model:
Cell lengths 5.188, 7.879, 7.879 Å; angles 81.79, 70.99, 83.76 degrees
Space group P-1 (No. 2)
Unique sites:
1 Li 0.000 0.000 0.000
2 Li 0.000 0.126 0.625
3 Li 0.000 0.500 0.500
4 Li 0.001 0.375 0.875
5 Li 0.001 0.750 0.750
6 Cr 0.500 0.313 0.562
7 Fe 0.500 0.062 0.313
8 Fe 0.500 0.188 0.937
9 Fe 0.500 0.437 0.188
10 O 0.270 0.406 0.028
11 O 0.271 0.031 0.152
12 O 0.271 0.781 0.902
13 O 0.273 0.157 0.775
14 O 0.273 0.903 0.526
15 O 0.274 0.280 0.403
16 O 0.275 0.530 0.650
17 O 0.275 0.655 0.278

Peak list (10 most intense, 2θ = 10–80°, sorted by position)
- 2θ = 18.13°, I = 100.0, (1 0 0)
- 2θ = 35.34°, I = 42.2, (0 3 1)
- 2θ = 36.94°, I = 12.9, (1 3 1)
- 2θ = 42.86°, I = 80.4, (2 1 3)
- 2θ = 46.89°, I = 14.0, (2 -2 2)
- 2θ = 56.56°, I = 14.2, (3 1 3)
- 2θ = 62.07°, I = 21.6, (3 3 1)
- 2θ = 62.36°, I = 22.2, (1 4 4)
- 2θ = 65.53°, I = 14.3, (2 4 4)
- 2θ = 78.64°, I = 10.0, (2 6 2)

---

MgV4Sb2P6O24: computed X-ray diffraction stick pattern (Cu Ka), based on a structure optimized by DFT (GGA+U).
Intensities are scaled so that the largest is 100.

Structural model:
Cell lengths 8.751, 8.752, 9.091 Å; angles 118.71, 90.14, 119.87 degrees
Space group P1 (No. 1)
Unique sites:
1 Mg 0.000 0.000 0.000
2 V 0.117 0.233 0.348
3 V 0.399 0.795 0.195
4 V 0.601 0.205 0.805
5 V 0.885 0.768 0.652
6 Sb 0.249 0.503 0.754
7 Sb 0.748 0.495 0.246
8 P 0.216 0.000 0.499
9 P 0.298 0.001 0.002
10 P 0.500 0.717 0.501
11 P 0.703 0.703 0.001
12 P 0.785 0.285 0.500
13 P 0.999 0.296 0.998
14 O 0.017 0.813 0.466
15 O 0.039 0.291 0.160
16 O 0.131 0.879 0.839
17 O 0.164 0.486 0.999
18 O 0.203 0.187 0.534
19 O 0.253 0.123 0.163
20 O 0.267 0.915 0.332
21 O 0.321 0.835 0.003
22 O 0.347 0.550 0.534
23 O 0.352 0.085 0.669
24 O 0.415 0.681 0.331
25 O 0.487 0.165 0.001
26 O 0.516 0.684 0.007
27 O 0.583 0.935 0.668
28 O 0.652 0.066 0.333
29 O 0.653 0.668 0.465
30 O 0.677 0.510 0.994
31 O 0.734 0.320 0.668
32 O 0.746 0.711 0.839
33 O 0.799 0.451 0.464
34 O 0.831 0.316 0.995
35 O 0.872 0.908 0.162
36 O 0.960 0.090 0.836
37 O 0.988 0.336 0.537

Peak list (10 most intense, 2θ = 10–80°, sorted by position)
- 2θ = 14.05°, I = 18.2, (0 1 0)
- 2θ = 20.28°, I = 100.0, (1 1 -1)
- 2θ = 23.48°, I = 63.8, (2 -1 1)
- 2θ = 24.76°, I = 27.5, (2 -2 0)
- 2θ = 31.26°, I = 65.5, (2 -1 2)
- 2θ = 32.21°, I = 15.9, (1 -3 1)
- 2θ = 35.51°, I = 36.1, (0 3 -2)
- 2θ = 44.94°, I = 25.7, (-1 3 1)
- 2θ = 54.31°, I = 19.8, (-3 4 1)
- 2θ = 55.49°, I = 15.9, (4 1 -2)